Calculated powder diffractogram
Compound: NbCr3Cu2S8
Radiation: Cu Kα (λ = 1.5418 Å)
Structure: a structure optimized by DFT (PBE)
Lines closer than 0.1° are merged.

Most intense lines, 10 to 80 degrees two-theta, by angle:
28.03 deg, d 3.183, intensity 100.0, hkl 0 3 2; 30.64 deg, d 2.918, intensity 86.6, hkl 1 1 2; 34.63 deg, d 2.590, intensity 78.0, hkl 1 1 3; 36.35 deg, d 2.471, intensity 64.9, hkl 1 3 1; 41.83 deg, d 2.160, intensity 82.6, hkl 1 4 0; 51.33 deg, d 1.780, intensity 71.2, hkl 1 4 4

Atomic structure:
Cell: 3.4501 11.0737 12.5768 Å, 90.00 90.00 90.00°
Element x y z (fractional)
1 Nb 0.0000 0.2084 0.0000
2 Nb 0.5000 0.7916 0.5000
3 Cr 0.0000 0.1587 0.5299
4 Cr 0.0000 0.6534 0.2039
5 Cr 0.0000 0.7029 0.7443
6 Cr 0.5000 0.2971 0.2443
7 Cr 0.5000 0.3466 0.7039
8 Cr 0.5000 0.8413 0.0299
9 Cu 0.0000 0.5076 0.9070
10 Cu 0.0000 0.9811 0.7620
11 Cu 0.5000 0.0189 0.2620
12 Cu 0.5000 0.4924 0.4070
13 S 0.0000 0.1531 0.1912
14 S 0.0000 0.3107 0.8325
15 S 0.0000 0.3651 0.5761
16 S 0.0000 0.4426 0.2847
17 S 0.0000 0.6449 0.5621
18 S 0.0000 0.8187 0.9046
19 S 0.0000 0.8648 0.1665
20 S 0.0000 0.9439 0.4628
21 S 0.5000 0.0561 0.9628
22 S 0.5000 0.1352 0.6665
23 S 0.5000 0.1813 0.4046
24 S 0.5000 0.3551 0.0621
25 S 0.5000 0.5574 0.7847
26 S 0.5000 0.6349 0.0761
27 S 0.5000 0.6893 0.3325
28 S 0.5000 0.8469 0.6912